Diffraction record for TlSbO3. The powder XRD pattern is calculated, not measured: it uses the GGA-PBE geometry in the Materials Project and Cu Kα, 1.54184 Å.
Peak positions follow from Bragg's law for the DFT cell and can differ from measured ones.

Cell and atoms:
```
10
Lattice="6.132 0.000 0.000 2.783 6.386 0.000 1.438 2.993 6.646" Properties=species:S:1:pos:R:3 pbc="T T T"
Tl 0.798 0.885 1.485
Tl 9.555 8.495 5.160
Sb 3.508 3.443 2.819
Sb 6.845 5.936 3.827
O 2.261 4.652 1.663
O 3.361 4.629 4.496
O 2.239 2.078 3.274
O 8.114 7.302 3.372
O 6.992 4.751 2.150
O 8.092 4.727 4.983
```

The 8 most intense peaks (15 to 90 degrees two-theta), in order of rising 2θ:
2θ (°)  I_rel
15.22  32
15.77  59
20.89  40
25.66  75
26.04  100
29.08  36
29.93  48
31.49  72